Simulated powder diffraction line list
Compound: TaNb6Tc2
Radiation: λ = 1.5418 Å (Cu Kα)
Structure: the PBE geometry in Alexandria

Atomic structure:
abc: 7.5315 7.5315 7.5315
angles: 111.09 109.54 107.80
Element x y z (fractional)
Ta 0.0000 0.0000 0.0000
Ta 0.5000 0.5000 0.0000
Nb 0.0745 0.8125 0.2620
Nb 0.2111 0.3037 0.5148
Nb 0.2111 0.6963 0.9074
Nb 0.2573 0.0577 0.8003
Nb 0.2573 0.4570 0.1997
Nb 0.4495 0.1875 0.2620
Nb 0.5505 0.8125 0.7380
Nb 0.7427 0.5430 0.8003
Nb 0.7427 0.9423 0.1997
Nb 0.7889 0.3037 0.0926
Nb 0.7889 0.6963 0.4852
Nb 0.9255 0.1875 0.7380
Tc 0.1508 0.6508 0.5000
Tc 0.5000 0.1460 0.6460
Tc 0.5000 0.8540 0.3540
Tc 0.8492 0.3492 0.5000

Principal peaks in the range 15° ≤ 2θ ≤ 90°, by intensity:
d [Å]  2θ/deg  I (rel.)
2.509  35.8  1000
2.307  39.1  696
2.350  38.3  447
2.172  41.6  417
2.297  39.2  345
1.406  66.5  239
2.219  40.7  201
4.345  20.4  160